MnCrBPdAu: simulated XRD peak list (Cu Ka), based on a cell relaxed with PBE.

The 10 most intense peaks (5° ≤ 2θ ≤ 70°), by angle:
2θ (°)	I/Imax
11.78	63
23.69	8
31.44	21
36.33	56
37.82	80
43.80	100
48.49	20
60.19	11
62.02	25
65.66	9

Structure:
Lattice parameters (Å, degrees): 15.0203 2.8437 3.0746 90.00 90.09 90.00
Space group Cm (No. 8)
Asymmetric unit:
Mn  0.0000  0.0000  0.0000 [2 per cell]
Cr  0.1286  0.0000  0.4937 [2 per cell]
B  0.0245  0.5000  0.5015 [2 per cell]
Pd  0.3800  0.0000  0.4973 [2 per cell]
Au  0.2483  0.5000  0.9958 [2 per cell]

=====

La11Rh4Pb9: simulated XRD peak list (Cu Ka), based on a cell relaxed with PBE.

The 10 most intense peaks (5° ≤ 2θ ≤ 70°), by angle:
2θ (°)	I/Imax
28.31	13
29.38	10
30.01	12
30.54	12
32.31	100
34.11	41
36.78	11
37.15	11
43.57	20
56.46	19

Structure:
Lattice parameters (Å, degrees): 14.8763 22.2924 4.1549 90.00 90.00 90.00
Space group Cmmm (No. 65)
Asymmetric unit:
La  0.0000  0.0000  0.0000 [2 per cell]
La  0.0000  0.1632  0.0000 [4 per cell]
La  0.0000  0.3735  0.0000 [4 per cell]
La  0.1896  0.5000  0.0000 [4 per cell]
La  0.2492  0.1673  0.0000 [8 per cell]
Rh  0.1553  0.3976  0.5000 [8 per cell]
Pb  0.0000  0.5000  0.5000 [2 per cell]
Pb  0.1076  0.2637  0.5000 [8 per cell]
Pb  0.1453  0.0731  0.5000 [8 per cell]

=====

AcTb2Nd6: simulated XRD peak list (Cu Ka), based on a cell relaxed with PBE.

The 10 most intense peaks (5° ≤ 2θ ≤ 70°), by angle:
2θ (°)	I/Imax
27.88	53
29.28	54
30.83	88
32.39	100
40.88	35
49.33	42
51.88	15
54.92	27
58.40	47
60.25	17

Structure:
Lattice parameters (Å, degrees): 3.6947 3.6947 27.4503 90.00 90.00 120.00
Space group P-6m2 (No. 187)
Asymmetric unit:
Ac  0.0000  0.0000  0.0000 [1 per cell]
Tb  0.3333  0.6667  0.3322 [2 per cell]
Nd  0.0000  0.0000  0.2245 [2 per cell]
Nd  0.0000  0.0000  0.4348 [2 per cell]
Nd  0.3333  0.6667  0.1165 [2 per cell]

=====

Na10B19C: simulated XRD peak list (Cu Ka), based on a cell relaxed with PBE.

The 10 most intense peaks (5° ≤ 2θ ≤ 70°), by angle:
2θ (°)	I/Imax
34.01	10
34.48	21
40.07	27
40.07	26
40.48	100
41.81	35
54.95	5
55.27	11
61.17	19
62.06	9

Structure:
Lattice parameters (Å, degrees): 18.0692 2.9908 13.6345 90.00 112.39 90.00
Space group Cm (No. 8)
Asymmetric unit:
Na  0.0000  0.0000  0.0000 [2 per cell]
Na  0.9996  0.0000  0.4994 [2 per cell]
Na  0.0991  0.5000  0.1999 [2 per cell]
Na  0.1004  0.5000  0.7006 [2 per cell]
Na  0.2002  0.0000  0.3989 [2 per cell]
Na  0.2004  0.0000  0.8998 [2 per cell]
Na  0.2999  0.5000  0.5990 [2 per cell]
Na  0.3006  0.5000  0.0985 [2 per cell]
Na  0.3992  0.0000  0.2993 [2 per cell]
Na  0.4005  0.0000  0.8002 [2 per cell]
B  0.0345  0.0000  0.3183 [2 per cell]
B  0.0350  0.0000  0.8197 [2 per cell]
B  0.0660  0.5000  0.3813 [2 per cell]
B  0.0687  0.5000  0.8870 [2 per cell]
B  0.1341  0.5000  0.5183 [2 per cell]
B  0.1366  0.5000  0.0229 [2 per cell]
B  0.1658  0.0000  0.5815 [2 per cell]
B  0.2264  0.0000  0.2020 [2 per cell]
B  0.2345  0.0000  0.7176 [2 per cell]
B  0.2656  0.5000  0.2806 [2 per cell]
B  0.2660  0.5000  0.7809 [2 per cell]
B  0.3311  0.5000  0.4122 [2 per cell]
B  0.3338  0.5000  0.9181 [2 per cell]
B  0.3654  0.0000  0.9809 [2 per cell]
B  0.3676  0.0000  0.4850 [2 per cell]
B  0.4343  0.0000  0.1181 [2 per cell]
B  0.4362  0.0000  0.6218 [2 per cell]
B  0.4652  0.5000  0.6798 [2 per cell]
B  0.4658  0.5000  0.1812 [2 per cell]
C  0.1666  0.0000  0.0828 [2 per cell]

=====

AcPmAgBr: simulated XRD peak list (Cu Ka), based on a cell relaxed with PBE.

The 10 most intense peaks (5° ≤ 2θ ≤ 70°), by angle:
2θ (°)	I/Imax
19.79	4
22.89	11
32.59	100
38.41	3
40.19	4
46.75	18
51.24	1
52.67	5
58.15	38
68.27	12

Structure:
Lattice parameters (Å, degrees): 7.7719 7.7719 7.7719 90.00 90.00 90.00
Space group F-43m (No. 216)
Asymmetric unit:
Ac  0.0000  0.0000  0.0000 [4 per cell]
Pm  0.0000  0.0000  0.5000 [4 per cell]
Ag  0.2500  0.2500  0.2500 [4 per cell]
Br  0.2500  0.2500  0.7500 [4 per cell]

=====

KLi2F: simulated XRD peak list (Cu Ka), based on a cell relaxed with PBE.

The 10 most intense peaks (5° ≤ 2θ ≤ 70°), by angle:
2θ (°)	I/Imax
16.29	5
26.75	100
31.48	13
38.19	12
47.24	35
50.29	5
55.11	14
62.27	9
62.33	4
69.02	2

Structure:
Lattice parameters (Å, degrees): 6.6622 6.6622 9.4369 90.00 90.00 90.00
Space group I4_1/amd (No. 141, origin choice 2)
Asymmetric unit:
K  0.0000  0.2500  0.3750 [4 per cell]
Li  0.0000  0.0000  0.0000 [8 per cell]
F  0.0000  0.2500  0.8750 [4 per cell]

=====

CeAl2GaAu4: simulated XRD peak list (Cu Ka), based on a cell relaxed with PBE.

The 10 most intense peaks (5° ≤ 2θ ≤ 70°), by angle:
2θ (°)	I/Imax
24.23	22
26.62	58
32.36	25
34.68	100
39.77	26
41.10	96
42.50	19
49.65	11
54.84	27
65.29	25

Structure:
Lattice parameters (Å, degrees): 4.3920 4.3920 28.2259 90.00 90.00 120.00
Space group R-3m (No. 166, hexagonal axes)
Asymmetric unit:
Ce  0.0000  0.0000  0.0000 [3 per cell]
Al  0.0000  0.0000  0.2452 [6 per cell]
Ga  0.0000  0.0000  0.5000 [3 per cell]
Au  0.0000  0.0000  0.1258 [6 per cell]
Au  0.0000  0.0000  0.3959 [6 per cell]

=====

Cd4SbBr: simulated XRD peak list (Cu Ka), based on a cell relaxed with PBE.

The 10 most intense peaks (5° ≤ 2θ ≤ 70°), by angle:
2θ (°)	I/Imax
18.11	10
29.78	23
35.07	100
36.69	45
42.62	7
46.66	3
52.86	9
56.34	33
61.85	29
65.02	2

Structure:
Lattice parameters (Å, degrees): 8.4858 8.4858 8.4858 90.00 90.00 90.00
Space group F-43m (No. 216)
Asymmetric unit:
Cd  0.1251  0.1251  0.1251 [16 per cell]
Sb  0.2500  0.2500  0.7500 [4 per cell]
Br  0.0000  0.0000  0.5000 [4 per cell]

=====

Re3Rh2: simulated XRD peak list (Cu Ka), based on a cell relaxed with PBE.

The 10 most intense peaks (5° ≤ 2θ ≤ 70°), by angle:
2θ (°)	I/Imax
13.43	7
27.05	1
29.66	4
40.53	100
43.33	22
43.78	20
45.11	3
53.79	11
63.29	14
69.69	5

Structure:
Lattice parameters (Å, degrees): 4.1358 13.1872 2.6984 90.00 90.00 90.00
Space group Cmmm (No. 65)
Asymmetric unit:
Re  0.0000  0.0000  0.0000 [2 per cell]
Re  0.0000  0.3945  0.5000 [4 per cell]
Rh  0.0000  0.1958  0.0000 [4 per cell]

=====

Nd2AlNi7: simulated XRD peak list (Cu Ka), based on a cell relaxed with PBE.

The 10 most intense peaks (5° ≤ 2θ ≤ 70°), by angle:
2θ (°)	I/Imax
8.42	12
24.59	9
32.84	25
34.60	68
37.15	100
47.13	49
49.39	36
59.77	27
63.10	8
68.86	15

Structure:
Lattice parameters (Å, degrees): 3.8567 3.8567 10.5057 90.00 90.00 90.00
Space group P-4m2 (No. 115)
Asymmetric unit:
Nd  0.0000  0.5000  0.2342 [2 per cell]
Al  0.0000  0.0000  0.5000 [1 per cell]
Ni  0.0000  0.0000  0.0000 [1 per cell]
Ni  0.0000  0.5000  0.6391 [2 per cell]
Ni  0.0000  0.5000  0.8626 [2 per cell]
Ni  0.5000  0.5000  0.0000 [1 per cell]
Ni  0.5000  0.5000  0.5000 [1 per cell]

=====

Nd4Sb8Pd3: simulated XRD peak list (Cu Ka), based on a cell relaxed with PBE.

The 10 most intense peaks (5° ≤ 2θ ≤ 70°), by angle:
2θ (°)	I/Imax
26.96	14
29.56	13
33.64	100
34.00	22
40.12	46
50.97	14
53.58	12
58.04	15
66.77	12
68.79	25

Structure:
Lattice parameters (Å, degrees): 4.4948 4.4948 19.5378 90.00 90.00 90.00
Space group P-4m2 (No. 115)
Asymmetric unit:
Nd  0.0000  0.5000  0.1176 [2 per cell]
Nd  0.0000  0.5000  0.6258 [2 per cell]
Sb  0.0000  0.0000  0.2468 [2 per cell]
Sb  0.0000  0.5000  0.4221 [2 per cell]
Sb  0.0000  0.5000  0.9290 [2 per cell]
Sb  0.5000  0.5000  0.2469 [2 per cell]
Pd  0.0000  0.0000  0.0000 [1 per cell]
Pd  0.0000  0.0000  0.5000 [1 per cell]
Pd  0.5000  0.5000  0.5000 [1 per cell]

=====

Zr6Sn2C: simulated XRD peak list (Cu Ka), based on a cell relaxed with PBE.

The 9 most intense peaks (5° ≤ 2θ ≤ 70°), by angle:
2θ (°)	I/Imax
27.83	2
34.25	100
39.68	35
39.92	17
49.18	1
57.37	12
57.55	23
68.55	26
68.87	13

Structure:
Lattice parameters (Å, degrees): 6.4244 6.4244 9.0336 90.00 90.00 90.00
Space group P4/mnc (No. 128)
Asymmetric unit:
Zr  0.0000  0.0000  0.2456 [4 per cell]
Zr  0.2430  0.2506  0.0000 [8 per cell]
Sn  0.0000  0.5000  0.2500 [4 per cell]
C  0.0000  0.0000  0.5000 [2 per cell]